1.
Calculated XRD peak list
Compound: YbNdO2
Radiation: Cu Kα (λ = 1.5418 Å)
Structure: a structure optimized by DFT (GGA-PBE)
Peak positions follow from Bragg's law for the DFT cell and can differ from measured ones.

Peak list (9 most intense, 10° ≤ 2θ ≤ 90°, in order of rising 2θ)
two_theta  I (rel.)
20.04  1.4
31.27  100.0
36.27  77.7
52.22  53.5
62.14  45.2
65.24  17.9
76.99  8.3
85.42  19.5
88.20  24.0

```
YbNdO2
1.0
-2.477 2.477 4.953
2.477 -2.477 4.953
2.477 2.477 -4.953
Yb Nd O
2 2 4
direct
0.375 0.625 0.750
0.625 0.375 0.250
0.125 0.875 0.250
0.875 0.125 0.750
0.132 0.382 0.750
0.382 0.132 0.250
0.618 0.868 0.750
0.868 0.618 0.250
```

=====

2.
Calculated XRD peak list
Compound: Nd5Zn2O2
Radiation: Cu Kα (λ = 1.5418 Å)
Structure: a structure optimized by DFT (GGA-PBE)
Peak positions follow from Bragg's law for the DFT cell and can differ from measured ones.

Peak list (10 most intense, 10° ≤ 2θ ≤ 90°, in order of rising 2θ)
two_theta  I (rel.)
27.46  59.0
28.81  39.7
29.17  30.1
31.95  100.0
32.39  60.0
36.38  53.0
39.16  20.7
53.45  26.3
53.65  29.7
59.60  27.3

```
Nd5Zn2O2
1.0
-3.531 9.201 3.455
3.531 -9.201 3.455
3.531 9.201 -3.455
Nd Zn O
10 4 4
direct
0.000 0.000 0.500
0.000 0.500 0.000
0.226 0.000 0.726
0.226 0.500 0.226
0.242 0.105 0.137
0.469 0.105 0.363
0.531 0.895 0.637
0.758 0.895 0.863
0.774 0.000 0.274
0.774 0.500 0.774
0.098 0.468 0.630
0.338 0.468 0.870
0.662 0.532 0.130
0.902 0.532 0.370
0.000 0.000 0.000
0.231 0.981 0.250
0.500 0.000 0.500
0.769 0.019 0.750
```

=====

3.
Calculated XRD peak list
Compound: Nd2Zr8O19
Radiation: Cu Kα (λ = 1.5418 Å)
Structure: a structure optimized by DFT (GGA-PBE)
Peak positions follow from Bragg's law for the DFT cell and can differ from measured ones.

Peak list (10 most intense, 10° ≤ 2θ ≤ 90°, in order of rising 2θ)
two_theta  I (rel.)
29.23  100.0
29.55  99.2
33.21  15.4
34.48  33.1
48.63  60.1
49.14  20.1
49.97  19.1
58.39  27.7
58.94  26.5
72.70  11.3

```
Nd2Zr8O19
1.0
3.651 0.000 0.000
0.000 3.708 0.000
0.000 0.000 26.974
Nd Zr O
2 8 19
direct
0.000 0.000 0.000
0.500 0.500 0.123
0.000 0.000 0.222
0.000 0.000 0.418
0.000 0.000 0.613
0.000 0.000 0.807
0.500 0.500 0.321
0.500 0.500 0.516
0.500 0.500 0.711
0.500 0.500 0.903
0.000 0.500 0.063
0.000 0.500 0.184
0.000 0.500 0.282
0.000 0.500 0.380
0.000 0.500 0.478
0.000 0.500 0.575
0.000 0.500 0.671
0.000 0.500 0.767
0.000 0.500 0.860
0.000 0.500 0.952
0.500 0.000 0.165
0.500 0.000 0.262
0.500 0.000 0.359
0.500 0.000 0.457
0.500 0.000 0.555
0.500 0.000 0.653
0.500 0.000 0.751
0.500 0.000 0.850
0.500 0.000 0.949
```

=====

4.
Calculated XRD peak list
Compound: Nd3Os
Radiation: Cu Kα (λ = 1.5418 Å)
Structure: a structure optimized by DFT (GGA-PBE)
Peak positions follow from Bragg's law for the DFT cell and can differ from measured ones.

Peak list (10 most intense, 10° ≤ 2θ ≤ 90°, in order of rising 2θ)
two_theta  I (rel.)
28.96  24.1
30.18  34.0
30.99  39.8
31.24  63.0
33.23  100.0
36.81  32.3
37.66  25.0
39.70  23.3
47.33  24.5
56.76  26.2

```
Nd3Os
1.0
7.503 0.000 0.000
0.000 9.648 0.000
0.000 0.000 6.541
Nd Os
12 4
direct
0.043 0.250 0.141
0.175 0.066 0.670
0.175 0.434 0.670
0.325 0.566 0.170
0.325 0.934 0.170
0.457 0.750 0.641
0.543 0.250 0.359
0.675 0.066 0.830
0.675 0.434 0.830
0.825 0.566 0.330
0.825 0.934 0.330
0.957 0.750 0.859
0.114 0.750 0.450
0.386 0.250 0.950
0.614 0.750 0.050
0.886 0.250 0.550
```

=====

5.
Calculated XRD peak list
Compound: Nd3Os
Radiation: Cu Kα (λ = 1.5418 Å)
Structure: a structure optimized by DFT (GGA-PBE)
Peak positions follow from Bragg's law for the DFT cell and can differ from measured ones.

Peak list (10 most intense, 10° ≤ 2θ ≤ 90°, in order of rising 2θ)
two_theta  I (rel.)
15.76  28.1
29.99  90.1
30.32  92.6
31.66  76.1
33.42  41.2
33.89  100.0
35.27  78.6
36.88  28.2
38.27  34.0
43.04  48.6

```
Nd3Os
1.0
6.783 -5.997 0.000
6.783 5.997 0.000
-2.978 0.000 5.624
Nd Os
12 4
direct
0.000 0.000 0.000
0.000 0.284 0.642
0.165 0.642 0.167
0.358 0.048 0.501
0.358 0.236 0.095
0.358 0.449 0.640
0.358 0.835 0.833
0.551 0.642 0.360
0.716 0.000 0.358
0.717 0.283 0.000
0.764 0.642 0.905
0.952 0.642 0.499
0.067 0.933 0.500
0.068 0.351 0.210
0.648 0.352 0.500
0.649 0.932 0.790
```

=====

6.
Calculated XRD peak list
Compound: Nd3Os
Radiation: Cu Kα (λ = 1.5418 Å)
Structure: a structure optimized by DFT (GGA-PBE)
Peak positions follow from Bragg's law for the DFT cell and can differ from measured ones.

Peak list (10 most intense, 10° ≤ 2θ ≤ 90°, in order of rising 2θ)
two_theta  I (rel.)
20.20  19.5
29.41  55.3
30.33  45.3
33.64  81.3
33.94  32.7
34.80  47.2
36.47  100.0
38.53  23.2
41.04  18.5
56.41  23.4

```
Nd3Os
1.0
11.915 0.000 0.000
0.000 11.915 0.000
0.000 0.000 6.511
Nd Os
24 8
direct
0.031 0.597 0.195
0.097 0.969 0.695
0.112 0.668 0.693
0.120 0.193 0.023
0.168 0.888 0.193
0.193 0.380 0.477
0.307 0.120 0.477
0.332 0.612 0.193
0.380 0.307 0.023
0.388 0.832 0.693
0.403 0.531 0.695
0.469 0.903 0.195
0.531 0.097 0.805
0.597 0.469 0.305
0.612 0.168 0.307
0.620 0.693 0.977
0.668 0.388 0.807
0.693 0.880 0.523
0.807 0.620 0.523
0.832 0.112 0.807
0.880 0.807 0.977
0.888 0.332 0.307
0.903 0.031 0.305
0.969 0.403 0.805
0.053 0.186 0.509
0.186 0.447 0.991
0.314 0.053 0.991
0.447 0.314 0.509
0.553 0.686 0.491
0.686 0.947 0.009
0.814 0.553 0.009
0.947 0.814 0.491
```

=====

7.
Calculated XRD peak list
Compound: Nd12OsPd6
Radiation: Cu Kα (λ = 1.5418 Å)
Structure: a structure optimized by DFT (GGA-PBE)
Peak positions follow from Bragg's law for the DFT cell and can differ from measured ones.

Peak list (10 most intense, 10° ≤ 2θ ≤ 90°, in order of rising 2θ)
two_theta  I (rel.)
21.45  27.9
22.43  68.3
25.67  53.2
29.81  36.6
32.53  76.8
35.96  100.0
37.25  98.0
48.07  17.5
52.59  21.2
52.75  23.5

```
Nd12OsPd6
1.0
6.386 3.687 4.152
-6.386 3.687 4.152
0.000 -7.374 4.152
Nd Os Pd
12 1 6
direct
0.039 0.925 0.680
0.075 0.320 0.961
0.182 0.580 0.417
0.320 0.961 0.075
0.417 0.182 0.580
0.420 0.583 0.818
0.580 0.417 0.182
0.583 0.818 0.420
0.680 0.039 0.925
0.818 0.420 0.583
0.925 0.680 0.039
0.961 0.075 0.320
0.000 0.000 0.000
0.131 0.314 0.620
0.314 0.620 0.131
0.380 0.869 0.686
0.620 0.131 0.314
0.686 0.380 0.869
0.869 0.686 0.380
```

=====

8.
Calculated XRD peak list
Compound: Nd8OsPd2
Radiation: Cu Kα (λ = 1.5418 Å)
Structure: a structure optimized by DFT (GGA-PBE)
Peak positions follow from Bragg's law for the DFT cell and can differ from measured ones.

Peak list (10 most intense, 10° ≤ 2θ ≤ 90°, in order of rising 2θ)
two_theta  I (rel.)
28.57  37.8
30.07  100.0
31.18  46.4
31.66  39.3
32.04  67.9
32.87  42.9
33.16  46.9
35.55  33.3
37.43  60.9
50.22  28.3

```
Nd8OsPd2
1.0
4.297 -6.556 0.000
4.297 6.556 0.000
-2.497 0.000 5.931
Nd Os Pd
8 1 2
direct
0.000 0.000 0.000
0.003 0.262 0.581
0.159 0.549 0.188
0.262 0.003 0.581
0.437 0.695 0.818
0.549 0.159 0.188
0.695 0.437 0.818
0.701 0.701 0.366
0.348 0.348 0.984
0.031 0.658 0.685
0.658 0.031 0.685
```

=====

9.
Calculated XRD peak list
Compound: Pr2Nd2Os
Radiation: Cu Kα (λ = 1.5418 Å)
Structure: a structure optimized by DFT (GGA-PBE)
Peak positions follow from Bragg's law for the DFT cell and can differ from measured ones.

Peak list (10 most intense, 10° ≤ 2θ ≤ 90°, in order of rising 2θ)
two_theta  I (rel.)
12.91  55.6
15.55  28.5
25.70  28.0
28.90  23.8
29.56  100.0
29.80  51.8
32.16  91.4
34.52  53.4
37.29  34.5
40.52  43.0

```
Pr2Nd2Os
1.0
3.825 -6.179 0.000
3.825 6.179 0.000
-3.211 0.000 6.859
Pr Nd Os
4 4 2
direct
0.223 0.223 0.397
0.258 0.258 0.904
0.742 0.742 0.096
0.777 0.777 0.603
0.221 0.671 0.245
0.329 0.779 0.755
0.671 0.221 0.245
0.779 0.329 0.755
0.127 0.873 0.000
0.873 0.127 0.000
```

=====

10.
Calculated XRD peak list
Compound: NdOsS
Radiation: Cu Kα (λ = 1.5418 Å)
Structure: a structure optimized by DFT (GGA-PBE)
Peak positions follow from Bragg's law for the DFT cell and can differ from measured ones.

Peak list (10 most intense, 10° ≤ 2θ ≤ 90°, in order of rising 2θ)
two_theta  I (rel.)
25.82  51.3
26.78  77.8
30.22  80.2
32.37  100.0
36.49  32.6
38.33  73.1
45.16  40.9
45.57  43.1
65.39  28.6
75.06  27.0

```
NdOsS
1.0
9.939 0.000 0.000
0.000 1.866 3.680
0.000 -1.866 3.680
Nd Os S
2 2 2
direct
0.183 0.000 0.000
0.817 0.000 0.000
0.000 0.698 0.698
0.500 0.811 0.811
0.358 0.320 0.320
0.642 0.320 0.320
```

=====

11.
Calculated XRD peak list
Compound: Nd12Sb6Os
Radiation: Cu Kα (λ = 1.5418 Å)
Structure: a structure optimized by DFT (GGA-PBE)
Peak positions follow from Bragg's law for the DFT cell and can differ from measured ones.

Peak list (10 most intense, 10° ≤ 2θ ≤ 90°, in order of rising 2θ)
two_theta  I (rel.)
21.35  64.8
24.64  25.3
29.35  41.0
31.06  100.0
31.34  21.5
34.99  81.4
35.25  59.6
36.47  39.9
45.62  22.9
51.24  22.3

```
Nd12Sb6Os
1.0
6.736 3.889 4.203
-6.736 3.889 4.203
0.000 -7.778 4.203
Nd Sb Os
12 6 1
direct
0.013 0.945 0.684
0.055 0.316 0.987
0.194 0.557 0.422
0.316 0.987 0.055
0.422 0.194 0.557
0.443 0.578 0.806
0.557 0.422 0.194
0.578 0.806 0.443
0.684 0.013 0.945
0.806 0.443 0.578
0.945 0.684 0.013
0.987 0.055 0.316
0.123 0.313 0.643
0.313 0.643 0.123
0.357 0.877 0.687
0.643 0.123 0.313
0.687 0.357 0.877
0.877 0.687 0.357
0.000 0.000 0.000
```